[1]
Diffraction record for Th2BeNi12B3. The powder XRD pattern is calculated, not measured: it uses DFT lattice parameters and positions (PBE) and Cu Kα X-rays.
No peak broadening, texture or thermal motion is included.

Top 8 peaks for 2θ from 5° to 70°, sorted by position:
2θ (°), d_spacing, I_rel, index
15.25, 5.809, 23, 1 0 1
29.17, 3.061, 28, 0 2 1
29.97, 2.981, 26, 1 1 3
36.58, 2.456, 100, 0 2 4
38.60, 2.332, 35, 2 1 1
40.46, 2.230, 29, 2 0 5
50.69, 1.801, 38, 2 2 0
54.65, 1.679, 23, 2 0 8

Atomic structure:
```
data_Th2BeNi12B3
_symmetry_space_group_name_H-M 'R -3 m'
_symmetry_Int_Tables_number 166
_symmetry_space_group_name_Hall '-R 3 2"'
_cell_length_a 7.2031
_cell_length_b 7.2031
_cell_length_c 15.9425
_cell_angle_alpha 90.00
_cell_angle_beta 90.00
_cell_angle_gamma 120.00
loop_
_atom_site_label
_atom_site_fract_x
_atom_site_fract_y
_atom_site_fract_z
Th1 0.0000 0.0000 0.1189
Be1 0.0000 0.0000 0.5000
Ni1 0.0251 0.5126 0.1185
Ni2 0.0617 0.5309 0.3517
B1 0.0000 0.5000 0.0000
```

=====

[2]
Diffraction record for Pr2TlBi. The powder XRD pattern is calculated, not measured: it uses DFT lattice parameters and positions (PBE) and Cu Kα X-rays.
No peak broadening, texture or thermal motion is included.

Top 8 peaks for 2θ from 5° to 70°, sorted by position:
2θ (°), d_spacing, I_rel, index
27.41, 3.253, 100, 1 1 1
28.20, 3.165, 46, 0 8 0
37.00, 2.430, 80, 1 7 1
38.30, 2.350, 27, 2 0 0
39.34, 2.290, 25, 0 0 2
48.23, 1.887, 21, 2 8 0
49.10, 1.855, 20, 0 8 2
63.93, 1.456, 19, 2 8 2

Atomic structure:
```
data_Pr2TlBi
_symmetry_space_group_name_H-M 'C m c m'
_symmetry_Int_Tables_number 63
_symmetry_space_group_name_Hall '-C 2c 2'
_cell_length_a 4.7002
_cell_length_b 25.3170
_cell_length_c 4.5808
_cell_angle_alpha 90.00
_cell_angle_beta 90.00
_cell_angle_gamma 90.00
loop_
_atom_site_label
_atom_site_fract_x
_atom_site_fract_y
_atom_site_fract_z
Pr1 0.0000 0.0628 0.2500
Pr2 0.0000 0.3169 0.2500
Tl1 0.0000 0.4563 0.2500
Bi1 0.0000 0.1886 0.2500
```

=====

[3]
Diffraction record for HfFeSbTe2. The powder XRD pattern is calculated, not measured: it uses DFT lattice parameters and positions (PBE) and Cu Kα X-rays.
No peak broadening, texture or thermal motion is included.

Top 8 peaks for 2θ from 5° to 70°, sorted by position:
2θ (°), d_spacing, I_rel, index
30.98, 2.886, 100, 1 1 1
35.14, 2.554, 55, 2 0 0
37.45, 2.401, 23, 0 0 2
50.55, 1.806, 20, 2 2 0
52.30, 1.749, 35, 2 0 2
60.48, 1.531, 30, 3 1 1
63.58, 1.463, 13, 1 1 3
64.58, 1.443, 18, 2 2 2

Atomic structure:
```
data_HfFeSbTe2
_symmetry_space_group_name_H-M 'P 4/m m m'
_symmetry_Int_Tables_number 123
_symmetry_space_group_name_Hall '-P 4 2'
_cell_length_a 5.1072
_cell_length_b 5.1072
_cell_length_c 4.8023
_cell_angle_alpha 90.00
_cell_angle_beta 90.00
_cell_angle_gamma 90.00
loop_
_atom_site_label
_atom_site_fract_x
_atom_site_fract_y
_atom_site_fract_z
Hf1 0.0000 0.0000 0.0000
Fe1 0.5000 0.5000 0.5000
Sb1 0.5000 0.5000 0.0000
Te1 0.0000 0.5000 0.5000
```

=====

[4]
Diffraction record for Ba3CaI8. The powder XRD pattern is calculated, not measured: it uses DFT lattice parameters and positions (PBE) and Cu Kα X-rays.
No peak broadening, texture or thermal motion is included.

Top 8 peaks for 2θ from 5° to 70°, sorted by position:
2θ (°), d_spacing, I_rel, index
10.90, 8.119, 36, 1 1 0
14.18, 6.248, 41, 1 1 1
21.75, 4.087, 20, 0 2 2
21.89, 4.060, 20, 2 2 0
23.93, 3.718, 50, 0 4 0
25.88, 3.442, 100, 2 0 2
35.54, 2.526, 69, 2 4 2
36.74, 2.446, 21, 0 0 4

Atomic structure:
```
data_Ba3CaI8
_symmetry_space_group_name_H-M 'C 2 2 2'
_symmetry_Int_Tables_number 21
_symmetry_space_group_name_Hall 'C 2 2'
_cell_length_a 9.6909
_cell_length_b 14.8726
_cell_length_c 9.7829
_cell_angle_alpha 90.00
_cell_angle_beta 90.00
_cell_angle_gamma 90.00
loop_
_atom_site_label
_atom_site_fract_x
_atom_site_fract_y
_atom_site_fract_z
Ba1 0.0000 0.0000 0.0000
Ba2 0.2500 0.2500 0.7447
Ca1 0.0000 0.0000 0.5000
I1 0.0000 0.2138 0.5000
I2 0.0000 0.2343 0.0000
I3 0.2321 0.0159 0.7302
```

=====

[5]
Diffraction record for Tb6TcSb2. The powder XRD pattern is calculated, not measured: it uses DFT lattice parameters and positions (PBE) and Cu Kα X-rays.
No peak broadening, texture or thermal motion is included.

Top 8 peaks for 2θ from 5° to 70°, sorted by position:
2θ (°), d_spacing, I_rel, index
30.19, 2.960, 100, 1 1 1
32.75, 2.734, 73, 2 0 1
33.22, 2.697, 62, 2 1 0
37.83, 2.378, 29, 3 0 0
39.56, 2.278, 34, 2 1 1
42.48, 2.128, 25, 0 0 2
54.96, 1.671, 30, 2 1 2
60.61, 1.528, 28, 3 2 1

Atomic structure:
```
data_Tb6TcSb2
_symmetry_space_group_name_H-M 'P -6 2 m'
_symmetry_Int_Tables_number 189
_symmetry_space_group_name_Hall 'P -6 -2'
_cell_length_a 8.2392
_cell_length_b 8.2392
_cell_length_c 4.2561
_cell_angle_alpha 90.00
_cell_angle_beta 90.00
_cell_angle_gamma 120.00
loop_
_atom_site_label
_atom_site_fract_x
_atom_site_fract_y
_atom_site_fract_z
Tb1 0.0000 0.2367 0.0000
Tb2 0.0000 0.6003 0.5000
Tc1 0.0000 0.0000 0.5000
Sb1 0.3333 0.6667 0.0000
```

=====

[6]
Diffraction record for Mg8AlIn2. The powder XRD pattern is calculated, not measured: it uses DFT lattice parameters and positions (PBE) and Cu Kα X-rays.
No peak broadening, texture or thermal motion is included.

Top 8 peaks for 2θ from 5° to 70°, sorted by position:
2θ (°), d_spacing, I_rel, index
13.20, 6.708, 61, 0 2 0
18.69, 4.748, 80, 0 0 1
22.95, 3.875, 63, 0 2 1
23.85, 3.730, 57, 2 0 0
27.36, 3.260, 62, 2 2 0
32.90, 2.722, 71, 1 3 1
38.03, 2.366, 100, 1 5 -1
40.33, 2.237, 53, 0 2 2

Atomic structure:
```
data_Mg8AlIn2
_symmetry_space_group_name_H-M 'C 1 2/m 1'
_symmetry_Int_Tables_number 12
_symmetry_space_group_name_Hall '-C 2y'
_cell_length_a 8.1418
_cell_length_b 13.4165
_cell_length_c 5.1812
_cell_angle_alpha 90.00
_cell_angle_beta 113.60
_cell_angle_gamma 90.00
loop_
_atom_site_label
_atom_site_fract_x
_atom_site_fract_y
_atom_site_fract_z
Mg1 0.0000 0.2110 0.0000
Mg2 0.1131 0.5000 0.8123
Mg3 0.2042 0.1108 0.6213
Al1 0.0000 0.0000 0.0000
In1 0.0000 0.3058 0.5000
```

=====

[7]
Diffraction record for Na5Cd2Te5. The powder XRD pattern is calculated, not measured: it uses DFT lattice parameters and positions (PBE) and Cu Kα X-rays.
No peak broadening, texture or thermal motion is included.

Top 8 peaks for 2θ from 5° to 70°, sorted by position:
2θ (°), d_spacing, I_rel, index
12.01, 7.372, 31, 1 1 0
17.01, 5.213, 39, 2 0 0
22.49, 3.953, 100, 2 1 1
28.33, 3.150, 27, 3 0 1
34.21, 2.621, 46, 2 2 2
34.41, 2.606, 38, 4 0 0
36.38, 2.470, 45, 3 1 2
44.14, 2.052, 27, 3 3 2

Atomic structure:
```
data_Na5Cd2Te5
_symmetry_space_group_name_H-M 'I 4 m m'
_symmetry_Int_Tables_number 107
_symmetry_space_group_name_Hall 'I 4 -2'
_cell_length_a 10.4257
_cell_length_b 10.4257
_cell_length_c 7.4554
_cell_angle_alpha 90.00
_cell_angle_beta 90.00
_cell_angle_gamma 90.00
loop_
_atom_site_label
_atom_site_fract_x
_atom_site_fract_y
_atom_site_fract_z
Na1 0.0000 0.0000 0.0000
Na2 0.2016 0.2016 0.4591
Cd1 0.0000 0.5000 0.3771
Te1 0.0000 0.0000 0.5842
Te2 0.0000 0.2921 0.1277
```

=====

[8]
Diffraction record for Sm3NiRh8. The powder XRD pattern is calculated, not measured: it uses DFT lattice parameters and positions (PBE) and Cu Kα X-rays.
No peak broadening, texture or thermal motion is included.

Top 8 peaks for 2θ from 5° to 70°, sorted by position:
2θ (°), d_spacing, I_rel, index
33.60, 2.667, 44, 1 1 0
39.60, 2.276, 100, 1 1 6
39.67, 2.272, 36, 2 0 2
41.34, 2.184, 13, 0 0 12
41.50, 2.176, 37, 0 2 4
60.13, 1.539, 12, 3 0 0
64.12, 1.452, 20, 2 1 10
64.20, 1.451, 17, 3 0 6

Atomic structure:
```
data_Sm3NiRh8
_symmetry_space_group_name_H-M 'R 3 m'
_symmetry_Int_Tables_number 160
_symmetry_space_group_name_Hall 'R 3 -2"'
_cell_length_a 5.3277
_cell_length_b 5.3277
_cell_length_c 26.2075
_cell_angle_alpha 90.00
_cell_angle_beta 90.00
_cell_angle_gamma 120.00
loop_
_atom_site_label
_atom_site_fract_x
_atom_site_fract_y
_atom_site_fract_z
Sm1 0.0000 0.0000 0.0000
Sm2 0.0000 0.0000 0.1310
Sm3 0.0000 0.0000 0.6112
Ni1 0.0000 0.0000 0.4785
Rh1 0.0000 0.0000 0.3122
Rh2 0.0000 0.0000 0.8130
Rh3 0.0005 0.5003 0.5613
Rh4 0.1670 0.3339 0.3968
```

=====

[9]
Diffraction record for TmTl2F8. The powder XRD pattern is calculated, not measured: it uses DFT lattice parameters and positions (PBE) and Cu Kα X-rays.
No peak broadening, texture or thermal motion is included.

Top 8 peaks for 2θ from 5° to 70°, sorted by position:
2θ (°), d_spacing, I_rel, index
22.84, 3.894, 84, 2 0 -1
23.63, 3.766, 82, 0 2 0
27.07, 3.294, 100, 1 1 1
30.31, 2.949, 67, 3 1 0
33.09, 2.707, 37, 2 2 -1
40.46, 2.230, 36, 1 1 -2
43.71, 2.071, 40, 1 3 1
45.92, 1.976, 31, 3 3 0

Atomic structure:
```
data_TmTl2F8
_symmetry_space_group_name_H-M 'C 1 2/m 1'
_symmetry_Int_Tables_number 12
_symmetry_space_group_name_Hall '-C 2y'
_cell_length_a 10.0579
_cell_length_b 7.5313
_cell_length_c 4.6780
_cell_angle_alpha 90.00
_cell_angle_beta 107.10
_cell_angle_gamma 90.00
loop_
_atom_site_label
_atom_site_fract_x
_atom_site_fract_y
_atom_site_fract_z
Tm1 0.0000 0.0000 0.0000
Tl1 0.1601 0.5000 0.3600
F1 0.0849 0.5000 0.7933
F2 0.1317 0.0000 0.7188
F3 0.1439 0.1985 0.2480
```

=====

[10]
Diffraction record for Pr3Er2Tl6. The powder XRD pattern is calculated, not measured: it uses DFT lattice parameters and positions (PBE) and Cu Kα X-rays.
No peak broadening, texture or thermal motion is included.

Top 8 peaks for 2θ from 5° to 70°, sorted by position:
2θ (°), d_spacing, I_rel, index
12.19, 7.259, 27, 0 0 4
28.69, 3.112, 99, 1 1 4
31.89, 2.806, 22, 1 1 6
35.95, 2.498, 100, 1 1 8
36.91, 2.436, 79, 2 0 0
53.18, 1.722, 28, 2 2 0
61.54, 1.507, 23, 3 1 4
65.87, 1.418, 35, 3 1 8

Atomic structure:
```
data_Pr3Er2Tl6
_symmetry_space_group_name_H-M 'I 4/m m m'
_symmetry_Int_Tables_number 139
_symmetry_space_group_name_Hall '-I 4 2'
_cell_length_a 4.8711
_cell_length_b 4.8711
_cell_length_c 29.0362
_cell_angle_alpha 90.00
_cell_angle_beta 90.00
_cell_angle_gamma 90.00
loop_
_atom_site_label
_atom_site_fract_x
_atom_site_fract_y
_atom_site_fract_z
Pr1 0.0000 0.0000 0.0000
Pr2 0.0000 0.0000 0.1978
Er1 0.0000 0.0000 0.4459
Tl1 0.0000 0.0000 0.3073
Tl2 0.0000 0.5000 0.1157
```

=====

[11]
Diffraction record for Sm3Ho2Er5. The powder XRD pattern is calculated, not measured: it uses DFT lattice parameters and positions (PBE) and Cu Kα X-rays.
No peak broadening, texture or thermal motion is included.

Top 8 peaks for 2θ from 5° to 70°, sorted by position:
2θ (°), d_spacing, I_rel, index
30.49, 2.932, 100, 2 4 0
30.72, 2.910, 97, 2 2 -3
32.38, 2.765, 22, 0 4 2
33.75, 2.655, 46, 4 0 -2
49.44, 1.843, 19, 0 6 3
58.29, 1.583, 17, 4 8 -2
66.32, 1.409, 18, 2 10 1
67.24, 1.392, 20, 2 4 -6

Atomic structure:
```
data_Sm3Ho2Er5
_symmetry_space_group_name_H-M 'C 1 2/c 1'
_symmetry_Int_Tables_number 15
_symmetry_space_group_name_Hall '-C 2yc'
_cell_length_a 10.6216
_cell_length_b 15.7840
_cell_length_c 9.3852
_cell_angle_alpha 90.00
_cell_angle_beta 124.32
_cell_angle_gamma 90.00
loop_
_atom_site_label
_atom_site_fract_x
_atom_site_fract_y
_atom_site_fract_z
Sm1 0.0000 0.2340 0.2500
Sm2 0.1450 0.1235 0.0462
Ho1 0.1519 0.3821 0.5480
Er1 0.0000 0.0266 0.2500
Er2 0.0000 0.2715 0.7500
Er3 0.0000 0.4710 0.7500
Er4 0.2409 0.3875 0.2329
```

=====

[12]
Diffraction record for Rb3CoI8. The powder XRD pattern is calculated, not measured: it uses DFT lattice parameters and positions (PBE) and Cu Kα X-rays.
No peak broadening, texture or thermal motion is included.

Top 8 peaks for 2θ from 5° to 70°, sorted by position:
2θ (°), d_spacing, I_rel, index
19.28, 4.604, 28, 1 1 2
19.49, 4.555, 46, 2 0 0
27.70, 3.221, 74, 2 2 0
30.21, 2.959, 16, 3 0 1
33.60, 2.667, 100, 2 0 4
39.57, 2.277, 21, 4 0 0
52.86, 1.732, 32, 4 2 4
63.49, 1.465, 14, 2 2 8

Atomic structure:
```
data_Rb3CoI8
_symmetry_space_group_name_H-M 'I 4/m m m'
_symmetry_Int_Tables_number 139
_symmetry_space_group_name_Hall '-I 4 2'
_cell_length_a 9.1093
_cell_length_b 9.1093
_cell_length_c 13.1636
_cell_angle_alpha 90.00
_cell_angle_beta 90.00
_cell_angle_gamma 90.00
loop_
_atom_site_label
_atom_site_fract_x
_atom_site_fract_y
_atom_site_fract_z
Rb1 0.0000 0.0000 0.0000
Rb2 0.0000 0.5000 0.2500
Co1 0.0000 0.0000 0.5000
I1 0.2176 0.2176 0.3753
```